Computed powder XRD pattern
Compound: La8CeDy4
Radiation: Cu Ka
Structure: a structure optimized by DFT (PBE)
Peak positions follow from Bragg's law for the DFT cell and can differ from measured ones.

```
La8CeDy4
1.0
6.5153 0.0000 0.0000
2.9954 6.8380 0.0000
0.7398 0.6521 10.1935
La Ce Dy
8 1 4
Direct
0.0149 0.3421 0.1690
0.0441 0.8273 0.1717
0.4575 0.7542 0.7024
0.4631 0.2011 0.6934
0.5369 0.7989 0.3066
0.5425 0.2458 0.2976
0.9559 0.1727 0.8283
0.9851 0.6579 0.8310
0.5000 0.5000 0.5000
0.0000 0.0000 0.5000
0.0000 0.5000 0.5000
0.5000 0.0000 0.0000
0.5000 0.5000 0.0000
```

Peak list (6 most intense, 10° ≤ 2θ ≤ 90°, sorted by position)
Position (°2θ)	I (rel.)	(hkl)
29.7	78	1 0 3
30.0	100	2 0 0
30.6	81	0 2 2
30.8	66	1 0 -3
31.4	45	1 2 -2
34.3	41	2 2 2